[1]
Structure and simulated powder diffraction line list of Gd4Ge3 (the GGA-PBE geometry in OQMD; Cu Kα, 1.54184 Å).
No peak broadening, texture or thermal motion is included.

a b c (Å): 7.737 7.737 7.737
angles (deg): 109.47 109.47 109.47
Fractional positions:
Gd 0.000 0.131 0.500
Gd 0.000 0.631 0.500
Gd 0.131 0.500 0.000
Gd 0.369 0.369 0.369
Gd 0.500 0.000 0.131
Gd 0.500 0.000 0.631
Gd 0.631 0.500 0.000
Gd 0.869 0.869 0.869
Ge 0.125 0.875 0.250
Ge 0.250 0.125 0.875
Ge 0.375 0.625 0.750
Ge 0.625 0.750 0.375
Ge 0.750 0.375 0.625
Ge 0.875 0.250 0.125

Most intense lines, 2θ from 10° to 90°, in order of falling intensity:
Position (°2θ)	intensity
31.67	100
37.68	60
52.21	35
64.28	21
50.02	18
28.26	17
78.71	15
68.01	14

***

[2]
Structure and simulated powder diffraction line list of SmGdGe2Pt (the GGA-PBE geometry in OQMD; Cu Kα, 1.54184 Å).
No peak broadening, texture or thermal motion is included.

a b c (Å): 5.752 5.752 10.563
angles (deg): 115.38 115.38 44.94
Fractional positions:
Sm 0.189 0.189 0.114
Sm 0.811 0.811 0.886
Gd 0.011 0.011 0.330
Gd 0.989 0.989 0.670
Ge 0.355 0.355 0.447
Ge 0.478 0.478 0.114
Ge 0.522 0.522 0.886
Ge 0.645 0.645 0.553
Pt 0.272 0.272 0.662
Pt 0.728 0.728 0.338

Most intense lines, 2θ from 10° to 90°, in order of falling intensity:
Position (°2θ)	intensity
32.24	100
39.93	97
41.06	75
32.81	69
33.00	67
36.07	51
33.76	38
38.48	31

***

[3]
Structure and simulated powder diffraction line list of SmAl4Ag8 (the GGA-PBE geometry in OQMD; Cu Kα, 1.54184 Å).
No peak broadening, texture or thermal motion is included.

a b c (Å): 7.123 7.123 7.123
angles (deg): 98.16 98.16 135.73
Fractional positions:
Sm 0.000 0.000 0.000
Al 0.000 0.000 0.500
Al 0.000 0.500 0.000
Al 0.500 0.000 0.000
Al 0.500 0.500 0.500
Ag 0.000 0.344 0.344
Ag 0.000 0.656 0.656
Ag 0.283 0.500 0.783
Ag 0.344 0.000 0.344
Ag 0.500 0.283 0.783
Ag 0.500 0.717 0.217
Ag 0.656 0.000 0.656
Ag 0.717 0.500 0.217

Most intense lines, 2θ from 10° to 90°, in order of falling intensity:
Position (°2θ)	intensity
38.61	100
33.33	70
69.87	31
43.46	20
43.38	20
27.04	19
63.17	17
38.70	17

***

[4]
Structure and simulated powder diffraction line list of UN2 (the GGA-PBE geometry in OQMD; Cu Kα, 1.54184 Å).
No peak broadening, texture or thermal motion is included.

a b c (Å): 5.258 5.258 5.258
angles (deg): 90.00 90.00 90.00
Fractional positions:
U 0.000 0.000 0.000
U 0.000 0.500 0.500
U 0.500 0.000 0.500
U 0.500 0.500 0.000
N 0.250 0.250 0.250
N 0.250 0.250 0.750
N 0.250 0.750 0.250
N 0.250 0.750 0.750
N 0.750 0.250 0.250
N 0.750 0.250 0.750
N 0.750 0.750 0.250
N 0.750 0.750 0.750

Most intense lines, 2θ from 10° to 90°, in order of falling intensity:
Position (°2θ)	intensity
29.42	100
58.19	46
49.00	46
34.10	40
79.45	20
81.94	16
61.05	11
71.81	7

***

Q: Number 2 is which compound?
A: SmGdGe2Pt